This entry pairs a crystal structure of Fe2Re3 with its computed powder X-ray diffraction pattern. Radiation: a wavelength of 1.5418 Å. Structure: a DFT-relaxed cell (PBE, the Materials Project).

Atomic structure:
a = 6.413 Å, b = 6.413 Å, c = 6.413 Å
α = 90.00°, β = 90.00°, γ = 90.00°
Fractional coordinates of all 20 atoms:
Fe  0.061  0.061  0.061
Fe  0.189  0.811  0.311
Fe  0.311  0.189  0.811
Fe  0.439  0.939  0.561
Fe  0.561  0.439  0.939
Fe  0.689  0.689  0.689
Fe  0.811  0.311  0.189
Fe  0.939  0.561  0.439
Re  0.051  0.875  0.699
Re  0.125  0.199  0.449
Re  0.199  0.449  0.125
Re  0.301  0.551  0.625
Re  0.375  0.801  0.949
Re  0.449  0.125  0.199
Re  0.551  0.625  0.301
Re  0.625  0.301  0.551
Re  0.699  0.051  0.875
Re  0.801  0.949  0.375
Re  0.875  0.699  0.051
Re  0.949  0.375  0.801

Main lines, in order of rising 2θ (5 to 70 degrees two-theta):
2θ = 19.58°, rel. 5.1; 2θ = 24.04°, rel. 13.1; 2θ = 31.19°, rel. 23.1; 2θ = 34.25°, rel. 15.9; 2θ = 42.28°, rel. 100.0; 2θ = 44.69°, rel. 61.4; 2θ = 47.00°, rel. 27.2; 2θ = 61.33°, rel. 12.5; 2θ = 65.05°, rel. 8.7; 2θ = 68.65°, rel. 7.2



This entry pairs a crystal structure of NbNi6Mo with its computed powder X-ray diffraction pattern. Radiation: a wavelength of 1.5418 Å. Structure: a DFT-relaxed cell (PBE, the Materials Project).

Atomic structure:
a = 4.247 Å, b = 5.060 Å, c = 4.510 Å
α = 90.00°, β = 90.00°, γ = 90.00°
Fractional coordinates of all 8 atoms:
Nb  0.000  0.000  0.000
Ni  0.000  0.256  0.507
Ni  0.000  0.500  0.013
Ni  0.000  0.744  0.507
Ni  0.500  0.000  0.667
Ni  0.500  0.255  0.190
Ni  0.500  0.745  0.190
Mo  0.500  0.500  0.696

Main lines, in order of rising 2θ (5 to 70 degrees two-theta):
2θ = 27.42°, rel. 3.5; 2θ = 28.88°, rel. 2.3; 2θ = 33.98°, rel. 2.7; 2θ = 39.99°, rel. 9.7; 2θ = 40.90°, rel. 29.7; 2θ = 42.58°, rel. 45.8; 2θ = 45.55°, rel. 60.7; 2θ = 46.37°, rel. 100.0; 2θ = 59.83°, rel. 5.5; 2θ = 60.51°, rel. 17.5



This entry pairs a crystal structure of Ba3MgTaNbO9 with its computed powder X-ray diffraction pattern. Radiation: a wavelength of 1.5418 Å. Structure: a DFT-relaxed cell (PBE, the Materials Project).

Atomic structure:
a = 5.852 Å, b = 5.852 Å, c = 7.191 Å
α = 90.00°, β = 90.00°, γ = 120.00°
Fractional coordinates of all 15 atoms:
Ba  0.000  0.000  0.000
Ba  0.333  0.667  0.664
Ba  0.667  0.333  0.334
Mg  0.000  0.000  0.498
Ta  0.333  0.667  0.176
Nb  0.667  0.333  0.822
O  0.002  0.501  0.001
O  0.172  0.343  0.324
O  0.172  0.828  0.324
O  0.342  0.171  0.675
O  0.499  0.501  0.001
O  0.499  0.998  0.001
O  0.657  0.828  0.324
O  0.829  0.171  0.675
O  0.829  0.658  0.675

Main lines, in order of rising 2θ (5 to 70 degrees two-theta):
2θ = 12.31°, rel. 4.9; 2θ = 17.50°, rel. 8.2; 2θ = 21.45°, rel. 6.9; 2θ = 30.52°, rel. 100.0; 2θ = 37.64°, rel. 5.3; 2θ = 43.70°, rel. 31.0; 2θ = 54.13°, rel. 10.4; 2θ = 54.28°, rel. 30.3; 2θ = 63.44°, rel. 9.8; 2θ = 63.60°, rel. 9.5



This entry pairs a crystal structure of MgTi2Cu2O8 with its computed powder X-ray diffraction pattern. Radiation: a wavelength of 1.5418 Å. Structure: a DFT-relaxed cell (PBE, the Materials Project).

Atomic structure:
a = 6.421 Å, b = 8.357 Å, c = 12.073 Å
α = 90.00°, β = 91.59°, γ = 90.00°
Fractional coordinates of all 52 atoms:
Mg  0.113  0.158  0.048
Mg  0.113  0.342  0.548
Mg  0.887  0.658  0.452
Mg  0.887  0.842  0.952
Ti  0.098  0.042  0.340
Ti  0.098  0.458  0.840
Ti  0.387  0.589  0.363
Ti  0.387  0.911  0.863
Ti  0.613  0.089  0.137
Ti  0.613  0.411  0.637
Ti  0.902  0.542  0.160
Ti  0.902  0.958  0.660
Cu  0.235  0.682  0.625
Cu  0.235  0.818  0.125
Cu  0.374  0.062  0.628
Cu  0.374  0.438  0.128
Cu  0.626  0.562  0.872
Cu  0.626  0.938  0.372
Cu  0.765  0.182  0.875
Cu  0.765  0.318  0.375
O  0.031  0.243  0.397
O  0.031  0.257  0.897
O  0.093  0.113  0.614
O  0.093  0.387  0.114
O  0.117  0.033  0.192
O  0.117  0.467  0.692
O  0.193  0.576  0.476
O  0.193  0.924  0.976
O  0.305  0.625  0.209
O  0.305  0.875  0.709
O  0.350  0.515  0.896
O  0.350  0.985  0.396
O  0.418  0.229  0.085
O  0.418  0.271  0.585
O  0.500  0.104  0.858
O  0.500  0.396  0.358
O  0.500  0.604  0.642
O  0.500  0.896  0.142
O  0.582  0.729  0.415
O  0.582  0.771  0.915
O  0.650  0.015  0.604
O  0.650  0.485  0.104
O  0.695  0.125  0.291
O  0.695  0.375  0.791
O  0.807  0.076  0.024
O  0.807  0.424  0.524
O  0.883  0.533  0.308
O  0.883  0.967  0.808
O  0.907  0.613  0.886
O  0.907  0.887  0.386
O  0.969  0.743  0.103
O  0.969  0.757  0.603

Main lines, in order of rising 2θ (5 to 70 degrees two-theta):
2θ = 19.91°, rel. 33.4; 2θ = 22.60°, rel. 27.2; 2θ = 26.39°, rel. 43.9; 2θ = 29.29°, rel. 21.1; 2θ = 29.61°, rel. 100.0; 2θ = 30.56°, rel. 29.9; 2θ = 30.93°, rel. 63.9; 2θ = 33.01°, rel. 38.3; 2θ = 34.20°, rel. 24.4; 2θ = 35.49°, rel. 23.9



This entry pairs a crystal structure of Cs2PtCl4 with its computed powder X-ray diffraction pattern. Radiation: a wavelength of 1.5418 Å. Structure: a DFT-relaxed cell (PBE, the Materials Project).

Atomic structure:
a = 7.539 Å, b = 7.539 Å, c = 4.833 Å
α = 90.00°, β = 90.00°, γ = 90.00°
Fractional coordinates of all 7 atoms:
Cs  0.000  0.500  0.000
Cs  0.500  0.000  0.000
Pt  0.000  0.000  0.500
Cl  0.219  0.219  0.500
Cl  0.219  0.781  0.500
Cl  0.781  0.219  0.500
Cl  0.781  0.781  0.500

Main lines, in order of rising 2θ (5 to 70 degrees two-theta):
2θ = 11.74°, rel. 64.6; 2θ = 21.85°, rel. 31.8; 2θ = 23.60°, rel. 26.2; 2θ = 24.87°, rel. 100.0; 2θ = 32.38°, rel. 13.3; 2θ = 33.62°, rel. 36.2; 2θ = 37.21°, rel. 14.6; 2θ = 42.27°, rel. 44.3; 2θ = 51.01°, rel. 21.4; 2θ = 66.08°, rel. 13.9



This entry pairs a crystal structure of Sm2MgS4 with its computed powder X-ray diffraction pattern. Radiation: a wavelength of 1.5418 Å. Structure: a DFT-relaxed cell (PBE, the Materials Project).

Atomic structure:
a = 12.839 Å, b = 3.931 Å, c = 13.812 Å
α = 90.00°, β = 90.00°, γ = 90.00°
Fractional coordinates of all 28 atoms:
Sm  0.121  0.250  0.074
Sm  0.134  0.250  0.707
Sm  0.366  0.750  0.207
Sm  0.379  0.750  0.574
Sm  0.621  0.250  0.426
Sm  0.634  0.250  0.793
Sm  0.866  0.750  0.293
Sm  0.879  0.750  0.926
Mg  0.108  0.750  0.459
Mg  0.392  0.250  0.959
Mg  0.608  0.750  0.041
Mg  0.892  0.250  0.541
S  0.003  0.750  0.614
S  0.025  0.250  0.885
S  0.229  0.250  0.246
S  0.233  0.250  0.516
S  0.267  0.750  0.016
S  0.271  0.750  0.746
S  0.475  0.750  0.385
S  0.497  0.250  0.114
S  0.503  0.750  0.886
S  0.525  0.250  0.615
S  0.729  0.250  0.254
S  0.733  0.250  0.984
S  0.767  0.750  0.484
S  0.771  0.750  0.754
S  0.975  0.750  0.115
S  0.997  0.250  0.386

Main lines, in order of rising 2θ (5 to 70 degrees two-theta):
2θ = 14.56°, rel. 85.6; 2θ = 23.78°, rel. 89.2; 2θ = 26.59°, rel. 100.0; 2θ = 29.89°, rel. 29.6; 2θ = 31.57°, rel. 30.5; 2θ = 33.56°, rel. 54.8; 2θ = 36.69°, rel. 25.3; 2θ = 40.52°, rel. 30.7; 2θ = 41.27°, rel. 47.5; 2θ = 46.21°, rel. 48.7



This entry pairs a crystal structure of Ga7Te10 with its computed powder X-ray diffraction pattern. Radiation: a wavelength of 1.5418 Å. Structure: a DFT-relaxed cell (PBE, the Materials Project).

Atomic structure:
a = 10.448 Å, b = 10.448 Å, c = 10.448 Å
α = 89.71°, β = 89.71°, γ = 89.71°
Fractional coordinates of all 34 atoms:
Ga  0.069  0.069  0.069
Ga  0.078  0.386  0.347
Ga  0.158  0.756  0.334
Ga  0.244  0.842  0.666
Ga  0.334  0.158  0.756
Ga  0.347  0.078  0.386
Ga  0.386  0.347  0.078
Ga  0.614  0.922  0.653
Ga  0.653  0.614  0.922
Ga  0.666  0.244  0.842
Ga  0.756  0.334  0.158
Ga  0.842  0.666  0.244
Ga  0.922  0.653  0.614
Ga  0.931  0.931  0.931
Te  0.000  0.416  0.584
Te  0.061  0.737  0.815
Te  0.074  0.575  0.171
Te  0.171  0.074  0.575
Te  0.185  0.263  0.939
Te  0.263  0.939  0.185
Te  0.324  0.676  0.500
Te  0.333  0.333  0.333
Te  0.416  0.584  0.000
Te  0.425  0.926  0.829
Te  0.500  0.324  0.676
Te  0.575  0.171  0.074
Te  0.584  0.000  0.416
Te  0.667  0.667  0.667
Te  0.676  0.500  0.324
Te  0.737  0.815  0.061
Te  0.815  0.061  0.737
Te  0.829  0.425  0.926
Te  0.926  0.829  0.425
Te  0.939  0.185  0.263

Main lines, in order of rising 2θ (5 to 70 degrees two-theta):
2θ = 12.00°, rel. 25.4; 2θ = 20.84°, rel. 16.2; 2θ = 25.46°, rel. 41.4; 2θ = 25.62°, rel. 100.0; 2θ = 26.97°, rel. 45.0; 2θ = 28.37°, rel. 51.6; 2θ = 44.18°, rel. 25.0; 2θ = 44.31°, rel. 43.8; 2θ = 46.89°, rel. 29.5; 2θ = 47.53°, rel. 20.1



This entry pairs a crystal structure of La5TlS8 with its computed powder X-ray diffraction pattern. Radiation: a wavelength of 1.5418 Å. Structure: a DFT-relaxed cell (PBE, the Materials Project).

Atomic structure:
a = 7.645 Å, b = 7.645 Å, c = 7.645 Å
α = 109.04°, β = 109.04°, γ = 110.33°
Fractional coordinates of all 14 atoms:
La  0.000  0.000  0.000
La  0.132  0.248  0.619
La  0.487  0.868  0.115
La  0.629  0.513  0.381
La  0.752  0.371  0.885
Tl  0.250  0.750  0.500
S  0.013  0.620  0.759
S  0.223  0.462  0.083
S  0.379  0.140  0.917
S  0.380  0.139  0.393
S  0.538  0.621  0.761
S  0.746  0.987  0.607
S  0.860  0.777  0.239
S  0.861  0.254  0.241

Main lines, in order of rising 2θ (5 to 70 degrees two-theta):
2θ = 24.64°, rel. 100.0; 2θ = 24.84°, rel. 50.7; 2θ = 31.92°, rel. 92.0; 2θ = 32.36°, rel. 46.4; 2θ = 37.98°, rel. 28.1; 2θ = 38.12°, rel. 36.0; 2θ = 38.34°, rel. 23.5; 2θ = 48.43°, rel. 27.9; 2θ = 52.61°, rel. 22.8; 2θ = 64.83°, rel. 25.6



This entry pairs a crystal structure of Cd2SiP4O14 with its computed powder X-ray diffraction pattern. Radiation: a wavelength of 1.5418 Å. Structure: a DFT-relaxed cell (PBE, the Materials Project).

Atomic structure:
a = 9.359 Å, b = 9.359 Å, c = 12.780 Å
α = 102.56°, β = 102.56°, γ = 33.36°
Fractional coordinates of all 42 atoms:
Cd  0.104  0.386  0.129
Cd  0.386  0.104  0.629
Cd  0.614  0.896  0.371
Cd  0.896  0.614  0.871
Si  0.377  0.623  0.750
Si  0.623  0.377  0.250
P  0.101  0.647  0.572
P  0.285  0.477  0.361
P  0.353  0.899  0.928
P  0.477  0.285  0.861
P  0.523  0.715  0.139
P  0.647  0.101  0.072
P  0.715  0.523  0.639
P  0.899  0.353  0.428
O  0.053  0.585  0.298
O  0.122  0.771  0.668
O  0.170  0.191  0.450
O  0.181  0.653  0.473
O  0.191  0.170  0.950
O  0.192  0.525  0.880
O  0.229  0.878  0.832
O  0.322  0.367  0.596
O  0.347  0.819  0.027
O  0.367  0.322  0.096
O  0.381  0.529  0.312
O  0.415  0.947  0.202
O  0.471  0.619  0.188
O  0.475  0.808  0.620
O  0.525  0.192  0.380
O  0.529  0.381  0.812
O  0.585  0.053  0.798
O  0.619  0.471  0.688
O  0.633  0.678  0.904
O  0.653  0.181  0.973
O  0.678  0.633  0.404
O  0.771  0.122  0.168
O  0.808  0.475  0.120
O  0.809  0.830  0.050
O  0.819  0.347  0.527
O  0.830  0.809  0.550
O  0.878  0.229  0.332
O  0.947  0.415  0.702

Main lines, in order of rising 2θ (5 to 70 degrees two-theta):
2θ = 10.13°, rel. 100.0; 2θ = 21.69°, rel. 20.0; 2θ = 22.56°, rel. 59.6; 2θ = 24.73°, rel. 65.4; 2θ = 26.71°, rel. 14.0; 2θ = 28.58°, rel. 32.3; 2θ = 28.70°, rel. 58.9; 2θ = 32.68°, rel. 36.4; 2θ = 34.15°, rel. 14.6; 2θ = 41.35°, rel. 14.8